# AcLaPm2Pr2
Simulated X-ray powder pattern, Cu Kα X-rays. Input: a cell relaxed with GGA-PBE.
Intensities are scaled so that the largest is 100.

Peak list (12 most intense, 2θ from 5° to 70°, low angle first)
- 29.9°, intensity 99, (0 2 2)
- 30.3°, intensity 100, (2 0 0)
- 39.1°, intensity 5, (2 0 2)
- 43.1°, intensity 37, (2 2 2)
- 49.5°, intensity 9, (0 0 4)
- 53.5°, intensity 13, (3 1 2)
- 53.6°, intensity 26, (1 5 2)
- 53.8°, intensity 13, (3 3 0)
- 53.9°, intensity 7, (0 6 0)
- 59.2°, intensity 30, (2 0 4)
- 62.9°, intensity 4, (4 0 0)
- 63.1°, intensity 8, (2 6 0)

Cell and atoms:
a = 5.914 Å, b = 10.199 Å, c = 7.360 Å
α = 90.00°, β = 90.00°, γ = 90.00°
Space group Pmc2_1 (No. 26)
Inequivalent atoms, fractional coordinates:
Ac (0.000, 0.000, 0.000) [2 per cell]
La (0.500, 0.171, 0.250) [2 per cell]
Pm (0.000, 0.335, 0.250) [2 per cell]
Pm (0.500, 0.169, 0.750) [2 per cell]
Pr (0.000, 0.337, 0.750) [2 per cell]
Pr (0.500, 0.500, 0.000) [2 per cell]